For YRh5, a crystal structure in the Materials Project, relaxed with GGA-PBE gives the computed X-ray diffraction stick pattern in this record (a wavelength of 1.5418 Å).
Intensities are scaled so that the largest is 100.

Principal peaks in the range 5 to 70 degrees two-theta, most intense first:
2θ = 40.2°, I = 100, hkl 1 1 1
2θ = 45.0°, I = 48, hkl 2 0 1
2θ = 41.7°, I = 34, hkl 0 0 2
2θ = 19.5°, I = 29, hkl 1 0 0
2θ = 39.6°, I = 28, hkl 2 0 0
2θ = 65.2°, I = 23, hkl 3 0 1
2θ = 34.1°, I = 18, hkl 1 1 0
2θ = 58.9°, I = 17, hkl 2 0 2
2θ = 28.5°, I = 13, hkl 1 0 1
2θ = 55.0°, I = 9, hkl 1 1 2

a b c (Å): 5.253 5.253 4.331
angles (deg): 90.00 90.00 120.00
Atoms (fractional coordinates):
Y 0.000 0.000 0.000
Rh 0.000 0.500 0.500
Rh 0.333 0.667 0.000
Rh 0.500 0.000 0.500
Rh 0.500 0.500 0.500
Rh 0.667 0.333 0.000